This entry pairs a crystal structure of Pr4Rh with its simulated XRD peak list. Radiation: λ = 1.5418 Å (Cu Kα). Structure: a cell relaxed with GGA-PBE.
Lines closer than 0.1° are merged.

Principal peaks in the range 15 to 90 degrees two-theta, low angle first:
(1 1 1), 2θ = 27.37°, I 91
(2 0 0), 2θ = 31.71°, I 100
(2 2 0), 2θ = 45.46°, I 74
(3 1 1), 2θ = 53.88°, I 42
(2 2 2), 2θ = 56.49°, I 26
(3 3 1), 2θ = 73.09°, I 17
(4 2 0), 2θ = 75.31°, I 33
(4 2 2), 2θ = 84.01°, I 25

Cell and atoms:
Cell lengths 5.643, 5.643, 5.643 Å; angles 90.00, 90.00, 90.00 degrees
Element x y z (fractional)
Pr 0.000 0.000 0.000
Pr 0.000 0.500 0.500
Pr 0.500 0.000 0.500
Pr 0.500 0.500 0.000
Rh 0.500 0.500 0.500